Theoretical X-ray diffraction stick pattern of Li4Mn2Ni3Sb3O16 for a wavelength of 1.5418 Å, from the GGA+U geometry in the Materials Project.

abc: 10.508 6.100 9.698
angles: 90.00 92.86 90.00
Space group Cm (No. 8)
One atom of each set of equivalent atoms:
Li1 0.000 0.000 0.000 [2 per cell]
Li2 0.007 0.000 0.520 [2 per cell]
Li3 0.194 0.500 0.903 [2 per cell]
Li4 0.357 0.000 0.422 [2 per cell]
Mn1 0.199 0.500 0.518 [2 per cell]
Mn2 0.375 0.000 0.991 [2 per cell]
Ni1 0.357 0.500 0.230 [2 per cell]
Ni2 0.444 0.245 0.731 [4 per cell]
Sb1 0.113 0.252 0.230 [4 per cell]
Sb2 0.196 0.000 0.729 [2 per cell]
O1 0.011 0.500 0.859 [2 per cell]
O2 0.032 0.000 0.332 [2 per cell]
O3 0.032 0.000 0.823 [2 per cell]
O4 0.046 0.500 0.354 [2 per cell]
O5 0.112 0.238 0.614 [4 per cell]
O6 0.179 0.000 0.115 [2 per cell]
O7 0.187 0.500 0.116 [2 per cell]
O8 0.268 0.270 0.351 [4 per cell]
O9 0.286 0.214 0.868 [4 per cell]
O10 0.354 0.500 0.620 [2 per cell]
O11 0.355 0.000 0.625 [2 per cell]
O12 0.450 0.248 0.113 [4 per cell]

Principal peaks in the range 2θ from 5° to 70°, low angle first:
2θ 18.32, rel. 100, hkl 0 0 2; 2θ 18.83, rel. 30, hkl 2 0 -1; 2θ 18.96, rel. 38, hkl 1 1 -1; 2θ 19.36, rel. 23, hkl 1 1 1; 2θ 34.18, rel. 25, hkl 3 1 -2; 2θ 35.02, rel. 43, hkl 2 2 -1; 2θ 35.53, rel. 47, hkl 2 2 1; 2θ 35.90, rel. 17, hkl 4 0 1; 2θ 38.46, rel. 17, hkl 2 2 -2; 2θ 43.78, rel. 29, hkl 2 2 -3; 2θ 44.92, rel. 22, hkl 2 2 3; 2θ 61.07, rel. 26, hkl 6 2 0